[1]
Structure and calculated PXRD pattern of NdErMg2Sn2 (DFT lattice parameters and positions (PBE); λ = 1.5418 Å (Cu Kα)).

Structural model:
```
data_NdErMg2Sn2
_cell_length_a 8.605
_cell_length_b 8.605
_cell_length_c 8.605
_cell_angle_alpha 150.09
_cell_angle_beta 150.09
_cell_angle_gamma 42.81
_space_group_name_H-M_alt 'P 1'
_space_group_IT_number 1
loop_
_space_group_symop_operation_xyz
'x,y,z'
loop_
_atom_site_label
_atom_site_fract_x
_atom_site_fract_y
_atom_site_fract_z
Nd1 0.000 0.000 0.000
Er1 0.667 0.667 0.000
Mg1 0.332 0.832 0.500
Mg2 0.832 0.332 0.500
Sn1 0.199 0.199 0.000
Sn2 0.468 0.468 0.000
```

Principal peaks in the range 15° ≤ 2θ ≤ 90°, low angle first:
d (Å)	Rel. int.
4.006	42
3.141	100
2.924	37
2.599	34
2.472	83
2.221	56
2.035	30
1.326	40


[2]
Structure and calculated PXRD pattern of NiMoW2 (DFT lattice parameters and positions (PBE); λ = 1.5418 Å (Cu Kα)).

Structural model:
```
data_NiMoW2
_cell_length_a 4.388
_cell_length_b 4.388
_cell_length_c 4.388
_cell_angle_alpha 60.00
_cell_angle_beta 60.00
_cell_angle_gamma 60.00
_space_group_name_H-M_alt 'P 1'
_space_group_IT_number 1
loop_
_space_group_symop_operation_xyz
'x,y,z'
loop_
_atom_site_label
_atom_site_fract_x
_atom_site_fract_y
_atom_site_fract_z
Ni1 0.000 0.000 0.000
Mo1 0.750 0.750 0.750
W1 0.250 0.250 0.250
W2 0.500 0.500 0.500
```

Principal peaks in the range 15° ≤ 2θ ≤ 90°, low angle first:
d (Å)	Rel. int.
3.583	18
2.194	100
1.871	10
1.551	17
1.424	4
1.267	34
1.194	3
1.097	11


[3]
Structure and calculated PXRD pattern of NbIBr2O (DFT lattice parameters and positions (PBE); λ = 1.5418 Å (Cu Kα)).

Structural model:
```
data_NbIBr2O
_cell_length_a 7.454
_cell_length_b 7.454
_cell_length_c 12.348
_cell_angle_alpha 119.22
_cell_angle_beta 119.22
_cell_angle_gamma 31.00
_space_group_name_H-M_alt 'P 1'
_space_group_IT_number 1
loop_
_space_group_symop_operation_xyz
'x,y,z'
loop_
_atom_site_label
_atom_site_fract_x
_atom_site_fract_y
_atom_site_fract_z
Nb1 0.129 0.129 0.204
Nb2 0.871 0.871 0.796
I1 0.042 0.167 0.954
I2 0.833 0.958 0.046
Br1 0.054 0.161 0.389
Br2 0.271 0.379 0.288
Br3 0.621 0.729 0.712
Br4 0.839 0.946 0.611
O1 0.332 0.424 0.808
O2 0.576 0.668 0.192
```

Principal peaks in the range 15° ≤ 2θ ≤ 90°, low angle first:
d (Å)	Rel. int.
3.793	76
3.762	100
3.097	76
3.075	78
3.004	44
2.885	42
2.104	44
2.099	45


[4]
Structure and calculated PXRD pattern of LaPrSe4 (DFT lattice parameters and positions (PBE); λ = 1.5418 Å (Cu Kα)).

Structural model:
```
data_LaPrSe4
_cell_length_a 4.204
_cell_length_b 4.204
_cell_length_c 8.664
_cell_angle_alpha 90.00
_cell_angle_beta 90.00
_cell_angle_gamma 90.00
_space_group_name_H-M_alt 'P 1'
_space_group_IT_number 1
loop_
_space_group_symop_operation_xyz
'x,y,z'
loop_
_atom_site_label
_atom_site_fract_x
_atom_site_fract_y
_atom_site_fract_z
La1 0.000 0.000 0.000
Pr1 0.500 0.500 0.450
Se1 0.000 0.000 0.359
Se2 0.000 0.500 0.724
Se3 0.500 0.000 0.724
Se4 0.500 0.500 0.092
```

Principal peaks in the range 15° ≤ 2θ ≤ 90°, low angle first:
d (Å)	Rel. int.
3.782	39
2.973	34
2.888	35
2.812	72
2.451	100
2.380	55
2.102	58
1.576	30


[5]
Structure and calculated PXRD pattern of Hf2BiSbIr2 (DFT lattice parameters and positions (PBE); λ = 1.5418 Å (Cu Kα)).

Structural model:
```
data_Hf2BiSbIr2
_cell_length_a 11.070
_cell_length_b 4.516
_cell_length_c 11.079
_cell_angle_alpha 90.00
_cell_angle_beta 109.49
_cell_angle_gamma 90.00
_space_group_name_H-M_alt 'P 1'
_space_group_IT_number 1
loop_
_space_group_symop_operation_xyz
'x,y,z'
loop_
_atom_site_label
_atom_site_fract_x
_atom_site_fract_y
_atom_site_fract_z
Hf1 0.000 0.000 0.000
Hf2 0.122 0.500 0.369
Hf3 0.246 0.000 0.749
Hf4 0.371 0.500 0.125
Hf5 0.497 0.000 0.495
Hf6 0.624 0.500 0.874
Hf7 0.747 0.000 0.248
Hf8 0.873 0.500 0.622
Bi1 0.373 0.500 0.623
Bi2 0.498 0.000 0.999
Bi3 0.748 0.000 0.748
Bi4 0.997 0.000 0.497
Sb1 0.122 0.500 0.874
Sb2 0.247 0.000 0.247
Sb3 0.622 0.500 0.372
Sb4 0.873 0.500 0.123
Ir1 0.002 0.000 0.753
Ir2 0.123 0.500 0.123
Ir3 0.247 0.000 0.491
Ir4 0.368 0.500 0.874
Ir5 0.496 0.000 0.252
Ir6 0.624 0.500 0.618
Ir7 0.752 0.000 0.002
Ir8 0.868 0.500 0.368
```

Principal peaks in the range 15° ≤ 2θ ≤ 90°, low angle first:
d (Å)	Rel. int.
3.690	31
3.196	11
2.260	100
1.927	16
1.598	17
1.466	7
1.305	29
1.130	10


[6]
Structure and calculated PXRD pattern of TmMg2 (DFT lattice parameters and positions (PBE); λ = 1.5418 Å (Cu Kα)).

Structural model:
```
data_TmMg2
_cell_length_a 8.770
_cell_length_b 5.293
_cell_length_c 13.431
_cell_angle_alpha 90.00
_cell_angle_beta 99.35
_cell_angle_gamma 90.00
_space_group_name_H-M_alt 'P 1'
_space_group_IT_number 1
loop_
_space_group_symop_operation_xyz
'x,y,z'
loop_
_atom_site_label
_atom_site_fract_x
_atom_site_fract_y
_atom_site_fract_z
Tm1 0.109 0.250 0.271
Tm2 0.125 0.250 0.760
Tm3 0.221 0.750 0.905
Tm4 0.259 0.750 0.651
Tm5 0.741 0.250 0.349
Tm6 0.779 0.250 0.095
Tm7 0.875 0.750 0.240
Tm8 0.891 0.750 0.729
Mg1 0.097 0.250 0.514
Mg2 0.116 0.250 0.017
Mg3 0.203 0.750 0.150
Mg4 0.221 0.750 0.402
Mg5 0.421 0.250 0.454
Mg6 0.434 0.250 0.167
Mg7 0.449 0.250 0.928
Mg8 0.482 0.250 0.694
Mg9 0.518 0.750 0.306
Mg10 0.551 0.750 0.072
Mg11 0.566 0.750 0.833
Mg12 0.579 0.750 0.546
Mg13 0.779 0.250 0.598
Mg14 0.797 0.250 0.850
Mg15 0.884 0.750 0.983
Mg16 0.903 0.750 0.486
```

Principal peaks in the range 15° ≤ 2θ ≤ 90°, low angle first:
d (Å)	Rel. int.
4.909	42
3.154	50
2.848	42
2.646	73
2.569	98
2.533	100
2.519	80
1.417	32